Entry 1:
CaP2PdS8: computed X-ray diffraction stick pattern (a wavelength of 1.5418 Å), based on a structure optimized by DFT (PBE).
Kinematic intensities with the Lorentz-polarization factor, no thermal factor.

Structural model:
```
data_CaP2PdS8
_symmetry_space_group_name_H-M 'P -3'
_symmetry_Int_Tables_number 147
_cell_length_a 5.8589
_cell_length_b 5.8589
_cell_length_c 8.4520
_cell_angle_alpha 90.00
_cell_angle_beta 90.00
_cell_angle_gamma 120.00
loop_
_symmetry_equiv_pos_as_xyz
'x,y,z'
'-x,-y,-z'
'-y,x-y,z'
'y,-x+y,-z'
'-x+y,-x,z'
'x-y,x,-z'
loop_
_atom_site_label
_atom_site_fract_x
_atom_site_fract_y
_atom_site_fract_z
Ca1 0.0000 0.0000 0.0000
P1 0.3333 0.6667 0.7445
Pd1 0.0000 0.0000 0.5000
S1 0.0044 0.6876 0.3137
S2 0.3333 0.6667 0.9818
```

Peak list (10 most intense, 2θ from 10° to 80°, sorted by position)
| 2θ/deg | d [Å] | I (rel.) | h k l |
| --- | --- | --- | --- |
| 10.5 | 8.452 | 31 | 0 0 1 |
| 17.5 | 5.074 | 47 | 1 0 0 |
| 20.4 | 4.350 | 100 | 0 1 1 |
| 27.5 | 3.247 | 64 | 1 0 2 |
| 30.5 | 2.929 | 40 | 1 1 0 |
| 32.3 | 2.768 | 55 | 1 1 1 |
| 37.4 | 2.408 | 89 | 2 -1 2 |
| 41.5 | 2.175 | 29 | 0 2 2 |
| 53.5 | 1.714 | 47 | 1 1 4 |
| 54.2 | 1.691 | 50 | 3 0 0 |

Entry 2:
Ca3SbP2Pd9: computed X-ray diffraction stick pattern (a wavelength of 1.5418 Å), based on a structure optimized by DFT (PBE).
Kinematic intensities with the Lorentz-polarization factor, no thermal factor.

Structural model:
```
data_Ca3SbP2Pd9
_symmetry_space_group_name_H-M 'P -3 m 1'
_symmetry_Int_Tables_number 164
_symmetry_space_group_name_Hall '-P 3 2"'
_cell_length_a 6.3272
_cell_length_b 6.3272
_cell_length_c 9.0386
_cell_angle_alpha 90.00
_cell_angle_beta 90.00
_cell_angle_gamma 120.00
loop_
_atom_site_label
_atom_site_fract_x
_atom_site_fract_y
_atom_site_fract_z
Ca1 0.0000 0.0000 0.0000
Ca2 0.3333 0.6667 0.6878
Sb1 0.0000 0.0000 0.5000
P1 0.3333 0.6667 0.1611
Pd1 0.0000 0.5000 0.0000
Pd2 0.1513 0.3026 0.2761
```

Peak list (10 most intense, 2θ from 10° to 80°, sorted by position)
| 2θ/deg | d [Å] | I (rel.) | h k l |
| --- | --- | --- | --- |
| 16.2 | 5.480 | 15 | 1 0 0 |
| 18.9 | 4.686 | 51 | 1 0 1 |
| 29.7 | 3.013 | 15 | 0 0 3 |
| 34.2 | 2.622 | 73 | 0 2 1 |
| 38.4 | 2.343 | 100 | 2 0 2 |
| 39.9 | 2.260 | 18 | 0 0 4 |
| 44.7 | 2.027 | 23 | 2 0 3 |
| 44.9 | 2.019 | 15 | 2 1 1 |
| 58.3 | 1.582 | 28 | 2 2 0 |
| 73.0 | 1.296 | 16 | 2 2 4 |

Entry 3:
CaSnP2Pd4: computed X-ray diffraction stick pattern (a wavelength of 1.5418 Å), based on a structure optimized by DFT (PBE).
Kinematic intensities with the Lorentz-polarization factor, no thermal factor.

Structural model:
```
data_CaSnP2Pd4
_symmetry_space_group_name_H-M 'P 4/m m m'
_symmetry_Int_Tables_number 123
_symmetry_space_group_name_Hall '-P 4 2'
_cell_length_a 4.269
_cell_length_b 4.269
_cell_length_c 7.934
_cell_angle_alpha 90.00
_cell_angle_beta 90.00
_cell_angle_gamma 90.00
loop_
_atom_site_label
_atom_site_fract_x
_atom_site_fract_y
_atom_site_fract_z
Ca1 0.000 0.000 0.000
Sn1 0.000 0.000 0.500
P1 0.500 0.500 0.139
Pd1 0.000 0.500 0.287
```

Peak list (10 most intense, 2θ from 10° to 80°, sorted by position)
| 2θ/deg | d [Å] | I (rel.) | h k l |
| --- | --- | --- | --- |
| 11.2 | 7.934 | 26 | 0 0 1 |
| 22.4 | 3.967 | 18 | 0 0 2 |
| 23.7 | 3.759 | 16 | 1 0 1 |
| 29.6 | 3.019 | 14 | 1 1 0 |
| 30.8 | 2.906 | 18 | 1 0 2 |
| 37.4 | 2.402 | 100 | 1 1 2 |
| 42.3 | 2.135 | 52 | 2 0 0 |
| 45.6 | 1.989 | 33 | 1 1 3 |
| 61.4 | 1.509 | 17 | 2 2 0 |
| 74.2 | 1.278 | 26 | 3 1 2 |

Entry 4:
CaZnP2Pd5: computed X-ray diffraction stick pattern (a wavelength of 1.5418 Å), based on a structure optimized by DFT (PBE).
Kinematic intensities with the Lorentz-polarization factor, no thermal factor.

Structural model:
```
data_CaZnP2Pd5
_symmetry_space_group_name_H-M 'P 4/m m m'
_symmetry_Int_Tables_number 123
_symmetry_space_group_name_Hall '-P 4 2'
_cell_length_a 4.132
_cell_length_b 4.132
_cell_length_c 9.925
_cell_angle_alpha 90.00
_cell_angle_beta 90.00
_cell_angle_gamma 90.00
loop_
_atom_site_label
_atom_site_fract_x
_atom_site_fract_y
_atom_site_fract_z
Ca1 0.000 0.000 0.000
Zn1 0.000 0.000 0.500
P1 0.500 0.500 0.229
Pd1 0.000 0.500 0.339
Pd2 0.500 0.500 0.000
```

Peak list (10 most intense, 2θ from 10° to 80°, sorted by position)
| 2θ/deg | d [Å] | I (rel.) | h k l |
| --- | --- | --- | --- |
| 23.3 | 3.815 | 45 | 1 0 1 |
| 26.9 | 3.308 | 88 | 0 0 3 |
| 31.9 | 2.803 | 96 | 1 1 1 |
| 35.7 | 2.518 | 88 | 1 1 2 |
| 41.2 | 2.190 | 66 | 1 1 3 |
| 43.8 | 2.066 | 100 | 2 0 0 |
| 48.1 | 1.891 | 87 | 1 1 4 |
| 52.2 | 1.752 | 55 | 2 0 3 |
| 63.7 | 1.461 | 32 | 2 2 0 |
| 73.3 | 1.291 | 30 | 2 0 6 |